For CsPuMgCl6, the GGA-PBE geometry in Alexandria gives the theoretical X-ray powder pattern in this record (Cu Ka).

Structural model:
```
data_CsPuMgCl6
_chemical_formula_sum 'Cs2 Pu2 Mg2 Cl12'
_cell_length_a 9.6528
_cell_length_b 9.6528
_cell_length_c 9.6528
_cell_angle_alpha 121.81
_cell_angle_beta 118.08
_cell_angle_gamma 90.12
_symmetry_space_group_name_H-M 'P 1'
_symmetry_Int_Tables_number 1
loop_
_symmetry_equiv_pos_as_xyz
'x,y,z'
loop_
_atom_site_label
_atom_site_fract_x
_atom_site_fract_y
_atom_site_fract_z
_atom_site_occupancy
Cs1 0.2981 0.0481 0.2500 1
Cs2 0.7019 0.9519 0.7500 1
Pu1 0.0000 0.5000 0.5000 1
Pu2 0.5000 0.5000 0.0000 1
Mg1 0.0000 0.0000 0.5000 1
Mg2 0.0000 0.5000 0.0000 1
Cl1 0.0438 0.7938 0.2500 1
Cl2 0.0545 0.3971 0.2132 1
Cl3 0.0545 0.8412 0.6574 1
Cl4 0.3162 0.1588 0.7132 1
Cl5 0.3162 0.6029 0.1574 1
Cl6 0.3353 0.5853 0.7500 1
Cl7 0.6647 0.4147 0.2500 1
Cl8 0.6838 0.3971 0.8426 1
Cl9 0.6838 0.8412 0.2868 1
Cl10 0.9455 0.1588 0.3426 1
Cl11 0.9455 0.6029 0.7868 1
Cl12 0.9562 0.2062 0.7500 1
```

Top 10 peaks for 2θ = 10–80°, sorted by position:
- d = 7.732 Å, intensity 36
- d = 6.818 Å, intensity 60
- d = 4.694 Å, intensity 19
- d = 4.178 Å, intensity 100
- d = 3.866 Å, intensity 40
- d = 3.158 Å, intensity 31
- d = 2.758 Å, intensity 21
- d = 2.599 Å, intensity 22
- d = 2.411 Å, intensity 19
- d = 2.288 Å, intensity 17